No. 1
PrTh8: theoretical powder diffraction line list (Cu Ka), based on DFT lattice parameters and positions (PBE).
Peak positions follow from Bragg's law for the DFT cell and can differ from measured ones.

Most intense lines, 5° ≤ 2θ ≤ 70°, by angle:
hkl 1 1 0, 2θ = 9.7°, rel. 2
hkl 2 0 0, 2θ = 13.7°, rel. 1
hkl 3 3 0, 2θ = 29.3°, rel. 67
hkl 3 0 1, 2θ = 32.9°, rel. 100
hkl 6 0 0, 2θ = 41.9°, rel. 26
hkl 0 0 2, 2θ = 52.2°, rel. 7
hkl 6 3 1, 2θ = 54.3°, rel. 50
hkl 6 6 0, 2θ = 60.8°, rel. 9
hkl 3 3 2, 2θ = 61.0°, rel. 18
hkl 9 3 0, 2θ = 68.9°, rel. 12
hkl 6 0 2, 2θ = 69.1°, rel. 12

Crystal structure
abc: 12.922 12.922 3.504
angles: 90.00 90.00 90.00
Space group I4/mmm (No. 139)
Asymmetric unit:
Pr  0.000  0.000  0.000 (multiplicity 2)
Th  0.000  0.333  0.000 (multiplicity 8)
Th  0.169  0.169  0.500 (multiplicity 8)

No. 2
Cs3SbSe4: theoretical powder diffraction line list (Cu Ka), based on DFT lattice parameters and positions (PBE).
Peak positions follow from Bragg's law for the DFT cell and can differ from measured ones.

Most intense lines, 5° ≤ 2θ ≤ 70°, by angle:
hkl 0 2 2, 2θ = 22.0°, rel. 32
hkl 2 2 0, 2θ = 22.5°, rel. 41
hkl 1 2 2, 2θ = 23.6°, rel. 34
hkl 0 1 3, 2θ = 25.7°, rel. 40
hkl 1 0 3, 2θ = 26.1°, rel. 31
hkl 3 0 1, 2θ = 27.0°, rel. 54
hkl 2 3 0, 2θ = 27.9°, rel. 100
hkl 2 3 1, 2θ = 29.1°, rel. 33
hkl 0 4 0, 2θ = 29.4°, rel. 31
hkl 2 2 3, 2θ = 33.6°, rel. 38
hkl 0 5 3, 2θ = 44.9°, rel. 27
hkl 5 3 1, 2θ = 50.0°, rel. 26

Crystal structure
abc: 10.397 12.149 10.863
angles: 90.00 90.00 90.00
Space group Pnma (No. 62)
Asymmetric unit:
Cs  0.058  0.044  0.197 (multiplicity 8)
Cs  0.146  0.750  0.421 (multiplicity 4)
Sb  0.231  0.750  0.978 (multiplicity 4)
Se  0.017  0.750  0.087 (multiplicity 4)
Se  0.146  0.077  0.531 (multiplicity 8)
Se  0.191  0.750  0.749 (multiplicity 4)

No. 3
Er3Ge13Ir4: theoretical powder diffraction line list (Cu Ka), based on DFT lattice parameters and positions (PBE).
Peak positions follow from Bragg's law for the DFT cell and can differ from measured ones.

Most intense lines, 5° ≤ 2θ ≤ 70°, by angle:
hkl 2 0 0, 2θ = 19.7°, rel. 43
hkl 2 1 0, 2θ = 22.0°, rel. 16
hkl 2 2 0, 2θ = 28.0°, rel. 26
hkl 2 2 2, 2θ = 34.4°, rel. 57
hkl 3 2 0, 2θ = 35.9°, rel. 100
hkl 3 2 1, 2θ = 37.3°, rel. 41
hkl 4 0 0, 2θ = 40.0°, rel. 54
hkl 4 2 0, 2θ = 44.9°, rel. 38
hkl 4 2 2, 2θ = 49.5°, rel. 50
hkl 4 4 0, 2θ = 57.8°, rel. 22
hkl 5 3 2, 2θ = 63.6°, rel. 14
hkl 6 2 2, 2θ = 69.1°, rel. 39

Crystal structure
abc: 9.021 9.021 9.021
angles: 90.00 90.00 90.00
Space group Pm-3n (No. 223)
Asymmetric unit:
Er  0.000  0.250  0.500 (multiplicity 6)
Ge  0.000  0.000  0.000 (multiplicity 2)
Ge  0.000  0.309  0.145 (multiplicity 24)
Ir  0.250  0.250  0.250 (multiplicity 8)

No. 4
PIrOs3: theoretical powder diffraction line list (Cu Ka), based on DFT lattice parameters and positions (PBE).
Peak positions follow from Bragg's law for the DFT cell and can differ from measured ones.

Most intense lines, 5° ≤ 2θ ≤ 70°, by angle:
hkl 1 0 0, 2θ = 20.6°, rel. 1
hkl 1 1 0, 2θ = 29.3°, rel. 1
hkl 1 1 1, 2θ = 36.1°, rel. 100
hkl 2 0 0, 2θ = 42.0°, rel. 58
hkl 2 2 0, 2θ = 60.8°, rel. 40

Crystal structure
abc: 4.306 4.306 4.306
angles: 90.00 90.00 90.00
Space group Pm-3m (No. 221)
Asymmetric unit:
P  0.000  0.000  0.000 (multiplicity 1)
Ir  0.500  0.500  0.500 (multiplicity 1)
Os  0.000  0.000  0.500 (multiplicity 3)

No. 5
Sr2SmThAs4: theoretical powder diffraction line list (Cu Ka), based on DFT lattice parameters and positions (PBE).
Peak positions follow from Bragg's law for the DFT cell and can differ from measured ones.

Most intense lines, 5° ≤ 2θ ≤ 70°, by angle:
hkl 0 0 1, 2θ = 12.3°, rel. 18
hkl 2 0 0, 2θ = 25.1°, rel. 11
hkl 1 1 1, 2θ = 28.9°, rel. 100
hkl 1 1 2, 2θ = 37.7°, rel. 6
hkl 2 0 2, 2θ = 41.1°, rel. 37
hkl 0 2 0, 2θ = 41.6°, rel. 38
hkl 3 1 0, 2θ = 43.5°, rel. 6
hkl 0 0 4, 2θ = 50.6°, rel. 6
hkl 4 0 0, 2θ = 51.4°, rel. 20
hkl 2 2 2, 2θ = 59.9°, rel. 12
hkl 0 2 4, 2θ = 67.5°, rel. 16
hkl 4 2 0, 2θ = 68.2°, rel. 17

Crystal structure
abc: 7.524 4.348 7.639
angles: 90.00 109.25 90.00
Space group P2/m (No. 10)
Asymmetric unit:
Sr  0.000  0.000  0.000 (multiplicity 1)
Sr  0.500  0.500  0.000 (multiplicity 1)
Sm  0.000  0.500  0.500 (multiplicity 1)
Th  0.500  0.000  0.500 (multiplicity 1)
As  0.243  0.000  0.728 (multiplicity 2)
As  0.258  0.500  0.272 (multiplicity 2)

No. 6
Ba8NaPt4: theoretical powder diffraction line list (Cu Ka), based on DFT lattice parameters and positions (PBE).
Peak positions follow from Bragg's law for the DFT cell and can differ from measured ones.

Most intense lines, 5° ≤ 2θ ≤ 70°, by angle:
hkl 0 0 1, 2θ = 7.7°, rel. 65
hkl 2 0 -1, 2θ = 8.0°, rel. 64
hkl 2 0 0, 2θ = 10.5°, rel. 59
hkl 2 0 -2, 2θ = 11.7°, rel. 97
hkl 3 1 -2, 2θ = 23.2°, rel. 46
hkl 3 1 0, 2θ = 24.9°, rel. 81
hkl 3 1 -3, 2θ = 26.1°, rel. 70
hkl 5 1 -1, 2θ = 29.4°, rel. 54
hkl 5 1 -4, 2θ = 31.1°, rel. 61
hkl 7 1 -2, 2θ = 35.3°, rel. 63
hkl 0 2 0, 2θ = 38.8°, rel. 53
hkl 1 1 4, 2θ = 40.2°, rel. 100

Crystal structure
abc: 22.284 4.647 15.168
angles: 90.00 130.86 90.00
Space group Cm (No. 8)
Asymmetric unit:
Ba  0.000  0.000  0.000 (multiplicity 2)
Ba  0.032  0.000  0.751 (multiplicity 2)
Ba  0.077  0.000  0.482 (multiplicity 2)
Ba  0.159  0.500  0.337 (multiplicity 2)
Ba  0.203  0.500  0.068 (multiplicity 2)
Ba  0.235  0.500  0.819 (multiplicity 2)
Ba  0.327  0.000  0.667 (multiplicity 2)
Ba  0.408  0.000  0.152 (multiplicity 2)
Na  0.368  0.000  0.410 (multiplicity 2)
Pt  0.015  0.500  0.874 (multiplicity 2)
Pt  0.031  0.000  0.236 (multiplicity 2)
Pt  0.204  0.500  0.583 (multiplicity 2)
Pt  0.220  0.000  0.945 (multiplicity 2)

No. 7
Ti2HgPbO6: theoretical powder diffraction line list (Cu Ka), based on DFT lattice parameters and positions (PBE).
Peak positions follow from Bragg's law for the DFT cell and can differ from measured ones.

Most intense lines, 5° ≤ 2θ ≤ 70°, by angle:
hkl 1 1 0, 2θ = 12.7°, rel. 28
hkl 2 0 0, 2θ = 20.2°, rel. 76
hkl 2 2 -1, 2θ = 25.1°, rel. 42
hkl 1 3 -1, 2θ = 27.5°, rel. 100
hkl 0 0 2, 2θ = 30.3°, rel. 42
hkl 3 1 0, 2θ = 31.6°, rel. 21
hkl 1 3 1, 2θ = 31.9°, rel. 61
hkl 2 2 1, 2θ = 34.0°, rel. 22
hkl 3 3 -1, 2θ = 36.7°, rel. 41
hkl 2 0 2, 2θ = 43.5°, rel. 20
hkl 2 6 0, 2θ = 52.5°, rel. 18
hkl 4 0 -4, 2θ = 59.3°, rel. 20

Crystal structure
abc: 9.641 11.395 6.483
angles: 90.00 114.45 90.00
Space group C2/c (No. 15)
Asymmetric unit:
Ti  0.149  0.071  0.188 (multiplicity 8)
Hg  0.000  0.245  0.750 (multiplicity 4)
Pb  0.000  0.408  0.250 (multiplicity 4)
O  0.112  0.038  0.451 (multiplicity 8)
O  0.113  0.226  0.097 (multiplicity 8)
O  0.146  0.435  0.679 (multiplicity 8)

No. 8
Pr3Nd2Tl: theoretical powder diffraction line list (Cu Ka), based on DFT lattice parameters and positions (PBE).
Peak positions follow from Bragg's law for the DFT cell and can differ from measured ones.

Most intense lines, 5° ≤ 2θ ≤ 70°, by angle:
hkl 1 1 0, 2θ = 25.5°, rel. 51
hkl 0 5 1, 2θ = 28.4°, rel. 86
hkl 0 2 2, 2θ = 28.7°, rel. 100
hkl 1 3 0, 2θ = 29.2°, rel. 64
hkl 0 6 0, 2θ = 30.0°, rel. 73
hkl 1 2 1, 2θ = 30.2°, rel. 68
hkl 0 4 2, 2θ = 33.7°, rel. 70
hkl 1 4 1, 2θ = 34.9°, rel. 67
hkl 1 3 2, 2θ = 40.1°, rel. 85
hkl 1 8 1, 2θ = 50.2°, rel. 42
hkl 2 0 0, 2θ = 51.3°, rel. 28
hkl 1 10 1, 2θ = 59.6°, rel. 37

Crystal structure
abc: 3.564 17.849 6.634
angles: 90.00 90.00 90.00
Space group Imm2 (No. 44)
Asymmetric unit:
Pr  0.000  0.000  0.000 (multiplicity 2)
Pr  0.000  0.358  0.775 (multiplicity 4)
Nd  0.000  0.315  0.277 (multiplicity 4)
Tl  0.000  0.500  0.063 (multiplicity 2)

No. 9
Mg2CuSe3: theoretical powder diffraction line list (Cu Ka), based on DFT lattice parameters and positions (PBE).
Peak positions follow from Bragg's law for the DFT cell and can differ from measured ones.

Most intense lines, 5° ≤ 2θ ≤ 70°, by angle:
hkl 0 0 2, 2θ = 25.8°, rel. 39
hkl 1 1 1, 2θ = 30.0°, rel. 100
hkl 1 0 2, 2θ = 30.2°, rel. 15
hkl 2 0 0, 2θ = 31.3°, rel. 7
hkl 1 1 2, 2θ = 37.7°, rel. 13
hkl 2 0 2, 2θ = 41.0°, rel. 17
hkl 3 0 0, 2θ = 47.7°, rel. 39
hkl 1 1 3, 2θ = 48.2°, rel. 26
hkl 2 1 2, 2θ = 49.8°, rel. 11
hkl 0 0 4, 2θ = 53.1°, rel. 10
hkl 3 0 2, 2θ = 55.0°, rel. 25
hkl 2 2 1, 2θ = 57.4°, rel. 14

Crystal structure
abc: 6.6030 6.6030 6.9035
angles: 90.00 90.00 120.00
Space group P6_3/mcm (No. 193)
Asymmetric unit:
Mg  0.3333  0.6667  0.0000 (multiplicity 4)
Cu  0.0000  0.0000  0.2500 (multiplicity 2)
Se  0.0000  0.3521  0.2500 (multiplicity 6)

No. 10
Fe2H2Cl7: theoretical powder diffraction line list (Cu Ka), based on DFT lattice parameters and positions (PBE).
Peak positions follow from Bragg's law for the DFT cell and can differ from measured ones.

Most intense lines, 5° ≤ 2θ ≤ 70°, by angle:
hkl 0 0 1, 2θ = 15.0°, rel. 57
hkl 0 2 0, 2θ = 15.3°, rel. 100
hkl 1 1 -1, 2θ = 16.0°, rel. 51
hkl 2 0 -1, 2θ = 19.3°, rel. 74
hkl 2 0 0, 2θ = 20.2°, rel. 75
hkl 0 2 1, 2θ = 21.5°, rel. 96
hkl 2 2 0, 2θ = 25.4°, rel. 37
hkl 1 3 -1, 2θ = 27.1°, rel. 30
hkl 1 1 -2, 2θ = 28.5°, rel. 35
hkl 3 1 0, 2θ = 31.4°, rel. 33
hkl 2 2 1, 2θ = 33.9°, rel. 30
hkl 1 3 -3, 2θ = 48.9°, rel. 43

Crystal structure
abc: 9.747 11.563 6.547
angles: 90.00 115.36 90.00
Space group C2/m (No. 12)
Asymmetric unit:
Fe  0.246  0.000  0.429 (multiplicity 4)
H  0.000  0.149  0.000 (multiplicity 4)
Cl  0.000  0.500  0.500 (multiplicity 2)
Cl  0.151  0.163  0.218 (multiplicity 8)
Cl  0.215  0.000  0.735 (multiplicity 4)

No. 11
AcPr2Nd2Sm: theoretical powder diffraction line list (Cu Ka), based on DFT lattice parameters and positions (PBE).
Peak positions follow from Bragg's law for the DFT cell and can differ from measured ones.

Most intense lines, 5° ≤ 2θ ≤ 70°, by angle:
hkl 2 0 2, 2θ = 30.0°, rel. 100
hkl 0 2 0, 2θ = 30.3°, rel. 34
hkl 0 1 3, 2θ = 30.4°, rel. 67
hkl 2 2 2, 2θ = 43.2°, rel. 25
hkl 2 0 4, 2θ = 43.3°, rel. 12
hkl 4 0 0, 2θ = 49.7°, rel. 9
hkl 2 3 1, 2θ = 53.7°, rel. 13
hkl 2 1 5, 2θ = 53.8°, rel. 26
hkl 0 3 3, 2θ = 54.0°, rel. 14
hkl 0 0 6, 2θ = 54.2°, rel. 7
hkl 4 2 0, 2θ = 59.4°, rel. 30
hkl 0 2 6, 2θ = 63.3°, rel. 8

Crystal structure
abc: 7.339 5.894 10.162
angles: 90.00 90.00 90.00
Space group Pmma (No. 51)
Asymmetric unit:
Ac  0.000  0.000  0.000 (multiplicity 2)
Pr  0.000  0.500  0.500 (multiplicity 2)
Pr  0.250  0.000  0.335 (multiplicity 2)
Nd  0.250  0.000  0.664 (multiplicity 2)
Nd  0.250  0.500  0.170 (multiplicity 2)
Sm  0.250  0.500  0.832 (multiplicity 2)

No. 12
HfRe2Rh: theoretical powder diffraction line list (Cu Ka), based on DFT lattice parameters and positions (PBE).
Peak positions follow from Bragg's law for the DFT cell and can differ from measured ones.

Most intense lines, 5° ≤ 2θ ≤ 70°, by angle:
hkl 2 0 0, 2θ = 23.8°, rel. 3
hkl 2 1 1, 2θ = 32.0°, rel. 13
hkl 2 2 0, 2θ = 33.9°, rel. 100
hkl 1 1 2, 2θ = 39.3°, rel. 72
hkl 3 0 1, 2θ = 40.3°, rel. 7
hkl 3 2 1, 2θ = 47.3°, rel. 3
hkl 4 0 0, 2θ = 48.7°, rel. 34
hkl 3 1 2, 2θ = 52.9°, rel. 56
hkl 4 1 1, 2θ = 53.6°, rel. 4
hkl 1 0 3, 2θ = 55.7°, rel. 1
hkl 3 3 2, 2θ = 64.3°, rel. 14
hkl 4 3 1, 2θ = 65.0°, rel. 7

Crystal structure
abc: 7.484 7.484 5.080
angles: 90.00 90.00 90.00
Space group I-42d (No. 122)
Asymmetric unit:
Hf  0.000  0.000  0.000 (multiplicity 4)
Re  0.221  0.250  0.625 (multiplicity 8)
Rh  0.000  0.000  0.500 (multiplicity 4)